(1)
Starting from a DFT-relaxed cell (PBE+U, the Materials Project), the powder XRD pattern of K2V3P4O17 was calculated for a wavelength of 1.5418 Å.
Intensities are scaled so that the largest is 100.

Cell and atoms:
```
data_K2V3P4O17
_chemical_formula_sum 'K4 V6 P8 O34'
_cell_length_a 9.383
_cell_length_b 5.099
_cell_length_c 18.772
_cell_angle_alpha 90.00
_cell_angle_beta 114.57
_cell_angle_gamma 90.00
_space_group_name_H-M_alt 'P 1 c 1'
_space_group_IT_number 7
_space_group_name_Hall 'P -2yc'
loop_
_atom_site_label
_atom_site_type_symbol
_atom_site_fract_x
_atom_site_fract_y
_atom_site_fract_z
K1 K 0.000 0.231 0.000
K2 K 0.645 0.248 0.659
V1 V 0.184 0.222 0.677
V2 V 0.461 0.279 0.983
V3 V 0.825 0.349 0.330
P1 P 0.022 0.272 0.227
P2 P 0.198 0.220 0.400
P3 P 0.448 0.278 0.260
P4 P 0.625 0.227 0.433
O1 O 0.030 0.071 0.168
O2 O 0.037 0.225 0.403
O3 O 0.040 0.446 0.703
O4 O 0.143 0.252 0.584
O5 O 0.167 0.206 0.309
O6 O 0.285 0.030 0.936
O7 O 0.290 0.468 0.434
O8 O 0.355 0.031 0.226
O9 O 0.363 0.471 0.724
O10 O 0.480 0.294 0.351
O11 O 0.503 0.248 0.076
O12 O 0.607 0.056 0.956
O13 O 0.608 0.262 0.256
O14 O 0.615 0.426 0.492
O15 O 0.777 0.251 0.422
O16 O 0.829 0.329 0.829
O17 O 0.871 0.245 0.239
```

Main lines, in order of rising 2θ (2θ = 15–90°):
| 2θ (°) | Rel. int. | h k l |
| --- | --- | --- |
| 18.16 | 66.5 | 0 1 1 |
| 18.99 | 55.1 | 1 0 -4 |
| 20.81 | 66.0 | 0 0 4 |
| 23.42 | 100.0 | 0 1 3 |
| 26.04 | 68.0 | 2 1 -1 |
| 28.65 | 43.4 | 1 0 -6 |
| 29.38 | 53.2 | 2 1 1 |
| 29.62 | 39.3 | 3 0 -4 |

---

(2)
Starting from a DFT-relaxed cell (PBE+U, the Materials Project), the powder XRD pattern of K2VPO6 was calculated for a wavelength of 1.5418 Å.
Intensities are scaled so that the largest is 100.

Cell and atoms:
```
data_K2VPO6
_chemical_formula_sum 'K8 V4 P4 O24'
_cell_length_a 7.017
_cell_length_b 13.630
_cell_length_c 8.310
_cell_angle_alpha 90.00
_cell_angle_beta 120.41
_cell_angle_gamma 90.00
_space_group_name_H-M_alt 'P 1 21/c 1'
_space_group_IT_number 14
_space_group_name_Hall '-P 2ybc'
loop_
_atom_site_label
_atom_site_type_symbol
_atom_site_fract_x
_atom_site_fract_y
_atom_site_fract_z
K1 K 0.088 0.133 0.448
K2 K 0.283 0.082 0.085
V1 V 0.396 0.701 0.600
P1 P 0.228 0.622 0.802
O1 O 0.095 0.530 0.768
O2 O 0.123 0.696 0.634
O3 O 0.266 0.674 0.984
O4 O 0.339 0.237 0.793
O5 O 0.350 0.627 0.425
O6 O 0.455 0.606 0.808
```

Main lines, in order of rising 2θ (2θ = 15–90°):
| 2θ (°) | Rel. int. | h k l |
| --- | --- | --- |
| 16.03 | 50.5 | 1 1 0 |
| 17.96 | 39.1 | 0 2 1 |
| 24.46 | 100.0 | 1 1 1 |
| 28.09 | 76.0 | 2 1 -2 |
| 29.21 | 88.7 | 1 3 -2 |
| 29.56 | 38.7 | 1 4 -1 |
| 31.81 | 49.3 | 0 3 2 |
| 42.07 | 48.4 | 3 2 -1 |

---

(3)
Starting from a DFT-relaxed cell (PBE+U, the Materials Project), the powder XRD pattern of KVPO5 was calculated for a wavelength of 1.5418 Å.
Intensities are scaled so that the largest is 100.

Cell and atoms:
```
data_KVPO5
_chemical_formula_sum 'K4 V4 P4 O20'
_cell_length_a 7.472
_cell_length_b 7.754
_cell_length_c 8.543
_cell_angle_alpha 90.00
_cell_angle_beta 90.00
_cell_angle_gamma 90.00
_space_group_name_H-M_alt 'P 21 21 21'
_space_group_IT_number 19
_space_group_name_Hall 'P 2ac 2ab'
loop_
_atom_site_label
_atom_site_type_symbol
_atom_site_fract_x
_atom_site_fract_y
_atom_site_fract_z
K1 K 0.117 0.039 0.241
V1 V 0.117 0.448 0.882
P1 P 0.123 0.313 0.596
O1 O 0.028 0.913 0.815
O2 O 0.068 0.127 0.559
O3 O 0.084 0.307 0.021
O4 O 0.178 0.401 0.440
O5 O 0.224 0.675 0.222
```

Main lines, in order of rising 2θ (2θ = 15–90°):
| 2θ (°) | Rel. int. | h k l |
| --- | --- | --- |
| 16.48 | 45.0 | 1 1 0 |
| 19.50 | 67.0 | 1 1 1 |
| 25.23 | 77.2 | 0 2 1 |
| 26.48 | 92.9 | 2 1 0 |
| 26.65 | 51.8 | 1 1 2 |
| 28.50 | 100.0 | 2 1 1 |
| 33.44 | 42.4 | 1 2 2 |
| 33.68 | 48.4 | 1 0 3 |

---

(4)
Starting from a DFT-relaxed cell (PBE+U, the Materials Project), the powder XRD pattern of KVP2O7 was calculated for a wavelength of 1.5418 Å.
Intensities are scaled so that the largest is 100.

Cell and atoms:
```
data_KVP2O7
_chemical_formula_sum 'K4 V4 P8 O28'
_cell_length_a 7.502
_cell_length_b 10.259
_cell_length_c 8.339
_cell_angle_alpha 90.00
_cell_angle_beta 106.88
_cell_angle_gamma 90.00
_space_group_name_H-M_alt 'P 1 21/c 1'
_space_group_IT_number 14
_space_group_name_Hall '-P 2ybc'
loop_
_atom_site_label
_atom_site_type_symbol
_atom_site_fract_x
_atom_site_fract_y
_atom_site_fract_z
K1 K 0.176 0.177 0.059
V1 V 0.237 0.600 0.260
P1 P 0.132 0.599 0.829
P2 P 0.441 0.636 0.692
O1 O 0.001 0.502 0.279
O2 O 0.080 0.736 0.753
O3 O 0.141 0.594 0.012
O4 O 0.320 0.608 0.514
O5 O 0.337 0.562 0.814
O6 O 0.364 0.076 0.765
O7 O 0.455 0.719 0.241
```

Main lines, in order of rising 2θ (2θ = 15–90°):
| 2θ (°) | Rel. int. | h k l |
| --- | --- | --- |
| 15.06 | 83.9 | 1 1 0 |
| 22.28 | 74.2 | 0 0 2 |
| 25.71 | 31.5 | 1 2 1 |
| 28.21 | 23.1 | 1 2 -2 |
| 28.92 | 62.2 | 1 3 0 |
| 29.54 | 26.2 | 2 1 -2 |
| 29.77 | 100.0 | 2 2 -1 |
| 29.90 | 56.9 | 1 1 2 |